Sr2Ta3: simulated powder X-ray diffraction pattern (Cu Kα (λ = 1.5418 Å)), based on the PBE geometry in Alexandria.

Top 10 peaks for 2θ = 10–90°, in order of falling intensity:
| d [Å] | I_rel |
| --- | --- |
| 2.657 | 1000 |
| 5.311 | 848 |
| 2.220 | 287 |
| 3.118 | 270 |
| 2.333 | 218 |
| 2.252 | 209 |
| 2.426 | 184 |
| 2.896 | 180 |
| 1.835 | 155 |
| 1.508 | 137 |

Structure:
abc: 9.104 6.075 9.863
angles: 64.65 37.09 78.26
Fractional coordinates of all 10 atoms:
Sr (0.109, 0.891, 0.291)
Sr (0.541, 0.959, 0.359)
Sr (0.891, 0.109, 0.709)
Sr (0.959, 0.541, 0.141)
Ta (0.285, 0.285, 0.715)
Ta (0.440, 0.524, 0.305)
Ta (0.519, 0.945, 0.726)
Ta (0.524, 0.440, 0.731)
Ta (0.535, 0.535, 0.965)
Ta (0.945, 0.519, 0.810)

---

Sm6ScIn2: simulated powder X-ray diffraction pattern (Cu Kα (λ = 1.5418 Å)), based on the PBE geometry in Alexandria.

Top 10 peaks for 2θ = 10–90°, in order of falling intensity:
| d [Å] | I_rel |
| --- | --- |
| 2.895 | 1000 |
| 2.506 | 514 |
| 2.403 | 422 |
| 2.602 | 413 |
| 3.110 | 397 |
| 2.737 | 245 |
| 1.511 | 225 |
| 3.044 | 190 |
| 1.854 | 159 |
| 1.849 | 154 |

Structure:
abc: 11.089 11.089 5.013
angles: 90.00 90.00 66.60
Fractional coordinates of all 18 atoms:
Sm (0.004, 0.175, 0.250)
Sm (0.024, 0.368, 0.750)
Sm (0.175, 0.004, 0.750)
Sm (0.279, 0.527, 0.750)
Sm (0.368, 0.024, 0.250)
Sm (0.473, 0.721, 0.750)
Sm (0.527, 0.279, 0.250)
Sm (0.632, 0.976, 0.750)
Sm (0.721, 0.473, 0.250)
Sm (0.825, 0.996, 0.250)
Sm (0.976, 0.632, 0.250)
Sm (0.996, 0.825, 0.750)
Sc (0.211, 0.789, 0.250)
Sc (0.789, 0.211, 0.750)
In (0.210, 0.354, 0.250)
In (0.354, 0.210, 0.750)
In (0.646, 0.790, 0.250)
In (0.790, 0.646, 0.750)

---

Nb3Te4O2: simulated powder X-ray diffraction pattern (Cu Kα (λ = 1.5418 Å)), based on the PBE geometry in Alexandria.

Top 10 peaks for 2θ = 10–90°, in order of falling intensity:
| d [Å] | I_rel |
| --- | --- |
| 2.498 | 1000 |
| 2.214 | 606 |
| 2.824 | 497 |
| 4.281 | 405 |
| 1.631 | 364 |
| 2.357 | 299 |
| 7.135 | 246 |
| 2.800 | 202 |
| 1.297 | 196 |
| 1.706 | 188 |

Structure:
abc: 3.261 3.261 21.404
angles: 90.00 90.00 120.00
Fractional coordinates of all 9 atoms:
Nb (0.000, 0.000, 0.000)
Nb (0.000, 0.000, 0.321)
Nb (0.667, 0.333, 0.701)
Te (0.000, 0.000, 0.603)
Te (0.000, 0.000, 0.800)
Te (0.667, 0.333, 0.222)
Te (0.667, 0.333, 0.419)
O (0.667, 0.333, 0.054)
O (0.667, 0.333, 0.945)

---

RbCeIBr3: simulated powder X-ray diffraction pattern (Cu Kα (λ = 1.5418 Å)), based on the PBE geometry in Alexandria.

Top 10 peaks for 2θ = 10–90°, in order of falling intensity:
| d [Å] | I_rel |
| --- | --- |
| 7.292 | 1000 |
| 2.880 | 970 |
| 3.342 | 681 |
| 3.536 | 596 |
| 2.423 | 373 |
| 2.687 | 370 |
| 2.125 | 369 |
| 7.718 | 364 |
| 3.646 | 274 |
| 2.558 | 266 |

Structure:
abc: 8.761 8.761 8.031
angles: 91.92 91.92 56.35
Fractional coordinates of all 12 atoms:
Rb (0.217, 0.217, 0.227)
Rb (0.783, 0.783, 0.773)
Ce (0.460, 0.460, 0.783)
Ce (0.540, 0.540, 0.217)
I (0.243, 0.757, 0.500)
I (0.757, 0.243, 0.500)
Br (0.178, 0.605, 0.050)
Br (0.288, 0.288, 0.649)
Br (0.395, 0.822, 0.950)
Br (0.605, 0.178, 0.050)
Br (0.712, 0.712, 0.351)
Br (0.822, 0.395, 0.950)

---

Rb3SiGe4: simulated powder X-ray diffraction pattern (Cu Kα (λ = 1.5418 Å)), based on the PBE geometry in Alexandria.

Top 10 peaks for 2θ = 10–90°, in order of falling intensity:
| d [Å] | I_rel |
| --- | --- |
| 3.359 | 1000 |
| 3.591 | 547 |
| 2.516 | 293 |
| 2.669 | 242 |
| 1.680 | 233 |
| 1.868 | 233 |
| 3.088 | 208 |
| 2.631 | 200 |
| 2.822 | 175 |
| 3.017 | 166 |

Structure:
abc: 13.877 8.363 9.706
angles: 90.00 90.00 90.00
Fractional coordinates of all 32 atoms:
Rb (0.107, 0.250, 0.228)
Rb (0.155, 0.027, 0.691)
Rb (0.155, 0.473, 0.691)
Rb (0.345, 0.527, 0.191)
Rb (0.345, 0.973, 0.191)
Rb (0.393, 0.750, 0.728)
Rb (0.607, 0.250, 0.272)
Rb (0.655, 0.027, 0.809)
Rb (0.655, 0.473, 0.809)
Rb (0.845, 0.527, 0.309)
Rb (0.845, 0.973, 0.309)
Rb (0.893, 0.750, 0.772)
Si (0.094, 0.750, 0.230)
Si (0.406, 0.250, 0.730)
Si (0.594, 0.750, 0.270)
Si (0.906, 0.250, 0.770)
Ge (0.031, 0.750, 0.462)
Ge (0.075, 0.592, 0.016)
Ge (0.075, 0.908, 0.016)
Ge (0.207, 0.750, 0.422)
Ge (0.293, 0.250, 0.922)
Ge (0.425, 0.092, 0.516)
Ge (0.425, 0.408, 0.516)
Ge (0.469, 0.250, 0.962)
Ge (0.531, 0.750, 0.038)
Ge (0.575, 0.592, 0.484)
Ge (0.575, 0.908, 0.484)
Ge (0.707, 0.750, 0.078)
Ge (0.793, 0.250, 0.578)
Ge (0.925, 0.092, 0.984)
Ge (0.925, 0.408, 0.984)
Ge (0.969, 0.250, 0.538)

---

Ca2SnTe4Pb: simulated powder X-ray diffraction pattern (Cu Kα (λ = 1.5418 Å)), based on the PBE geometry in Alexandria.

Top 10 peaks for 2θ = 10–90°, in order of falling intensity:
| d [Å] | I_rel |
| --- | --- |
| 3.224 | 1000 |
| 2.279 | 769 |
| 1.442 | 357 |
| 1.861 | 276 |
| 1.316 | 263 |
| 1.612 | 130 |
| 6.446 | 109 |
| 4.559 | 103 |
| 1.140 | 85 |
| 2.883 | 70 |

Structure:
abc: 7.896 6.448 7.895
angles: 65.91 48.20 65.89
Fractional coordinates of all 8 atoms:
Ca (0.000, 0.000, 0.500)
Ca (0.500, 0.500, 0.000)
Sn (0.254, 0.254, 0.746)
Te (0.003, 0.497, 0.503)
Te (0.250, 0.749, 0.750)
Te (0.497, 0.003, 0.997)
Te (0.749, 0.250, 0.251)
Pb (0.752, 0.752, 0.248)

---

Pm3In2: simulated powder X-ray diffraction pattern (Cu Kα (λ = 1.5418 Å)), based on the PBE geometry in Alexandria.

Top 10 peaks for 2θ = 10–90°, in order of falling intensity:
| d [Å] | I_rel |
| --- | --- |
| 2.703 | 1000 |
| 3.106 | 838 |
| 2.592 | 344 |
| 2.040 | 317 |
| 1.628 | 236 |
| 1.561 | 186 |
| 1.646 | 183 |
| 1.539 | 138 |
| 1.871 | 131 |
| 1.352 | 114 |

Structure:
abc: 12.453 5.409 9.361
angles: 90.00 90.00 90.00
Fractional coordinates of all 20 atoms:
Pm (0.087, 0.250, 0.086)
Pm (0.091, 0.750, 0.582)
Pm (0.250, 0.250, 0.752)
Pm (0.250, 0.750, 0.252)
Pm (0.409, 0.250, 0.082)
Pm (0.413, 0.750, 0.586)
Pm (0.587, 0.250, 0.414)
Pm (0.591, 0.750, 0.918)
Pm (0.750, 0.250, 0.748)
Pm (0.750, 0.750, 0.248)
Pm (0.909, 0.250, 0.418)
Pm (0.913, 0.750, 0.914)
In (0.000, 0.250, 0.749)
In (0.000, 0.750, 0.251)
In (0.243, 0.750, 0.918)
In (0.257, 0.250, 0.418)
In (0.500, 0.250, 0.751)
In (0.500, 0.750, 0.249)
In (0.743, 0.750, 0.582)
In (0.757, 0.250, 0.082)

---

RbPd2Se2: simulated powder X-ray diffraction pattern (Cu Kα (λ = 1.5418 Å)), based on the PBE geometry in Alexandria.

Top 10 peaks for 2θ = 10–90°, in order of falling intensity:
| d [Å] | I_rel |
| --- | --- |
| 5.614 | 1000 |
| 2.652 | 994 |
| 1.967 | 583 |
| 2.807 | 561 |
| 2.769 | 479 |
| 1.716 | 295 |
| 1.659 | 269 |
| 3.933 | 237 |
| 2.127 | 228 |
| 3.735 | 223 |

Structure:
abc: 8.882 8.882 8.882
angles: 140.40 140.40 57.24
Fractional coordinates of all 10 atoms:
Rb (0.000, 0.000, 0.000)
Rb (0.750, 0.250, 0.500)
Pd (0.357, 0.614, 0.743)
Pd (0.364, 0.121, 0.757)
Pd (0.364, 0.607, 0.243)
Pd (0.871, 0.614, 0.257)
Se (0.208, 0.465, 0.257)
Se (0.208, 0.950, 0.743)
Se (0.215, 0.458, 0.757)
Se (0.700, 0.458, 0.243)